For Tm3Ge, DFT lattice parameters and positions (GGA-PBE) gives the simulated powder diffractogram in this record (λ = 1.5418 Å (Cu Kα)).

Structural model:
```
Tm3Ge
1.0
6.5830 0.0000 0.0000
-3.2915 5.7010 0.0000
0.0000 0.0000 5.2837
Tm Ge
6 2
direct
0.1723 0.3445 0.2500
0.1723 0.8277 0.2500
0.3445 0.1723 0.7500
0.6555 0.8277 0.2500
0.8277 0.1723 0.7500
0.8277 0.6555 0.7500
0.3333 0.6667 0.7500
0.6667 0.3333 0.2500
```

Main lines, by angle (10 to 80 degrees two-theta):
2θ (°)	intensity
31.38	24
33.93	26
35.79	100
46.89	16
55.87	18
61.93	20
66.99	21
68.14	15

=====

For Dy2MgGa, DFT lattice parameters and positions (GGA-PBE) gives the simulated powder diffractogram in this record (λ = 1.5418 Å (Cu Kα)).

Structural model:
```
Dy2MgGa
1.0
0.0000 3.6540 3.6540
3.6540 0.0000 3.6540
3.6540 3.6540 0.0000
Dy Mg Ga
2 1 1
direct
0.2500 0.2500 0.2500
0.7500 0.7500 0.7500
0.0000 0.0000 0.0000
0.5000 0.5000 0.5000
```

Main lines, by angle (10 to 80 degrees two-theta):
2θ (°)	intensity
24.36	34
34.72	100
42.87	10
49.92	18
56.30	14
62.24	37
73.27	11
78.54	7

=====

For Lu2SiO5, DFT lattice parameters and positions (GGA-PBE) gives the simulated powder diffractogram in this record (λ = 1.5418 Å (Cu Kα)).

Structural model:
```
Lu2SiO5
1.0
9.1202 0.0000 0.0000
0.0000 6.6115 0.0000
-1.1978 0.0000 6.5742
Lu Si O
8 4 20
direct
0.0367 0.1174 0.2241
0.0367 0.3826 0.7241
0.3512 0.1420 0.9893
0.3512 0.3580 0.4893
0.6488 0.6420 0.5107
0.6488 0.8580 0.0107
0.9633 0.6174 0.2759
0.9633 0.8826 0.7759
0.2975 0.5984 0.9858
0.2975 0.9016 0.4858
0.7025 0.0984 0.5142
0.7025 0.4016 0.0142
0.1060 0.1229 0.9211
0.1060 0.3771 0.4211
0.1149 0.6485 0.9583
0.1149 0.8515 0.4583
0.2910 0.0612 0.2891
0.2910 0.4388 0.7891
0.3481 0.0653 0.6686
0.3481 0.4347 0.1686
0.4018 0.7007 0.4945
0.4018 0.7993 0.9945
0.5982 0.2007 0.0055
0.5982 0.2993 0.5055
0.6519 0.5653 0.8314
0.6519 0.9347 0.3314
0.7090 0.5612 0.2109
0.7090 0.9388 0.7109
0.8851 0.1485 0.5417
0.8851 0.3515 0.0417
0.8940 0.6229 0.5789
0.8940 0.8771 0.0789
```

Main lines, by angle (10 to 80 degrees two-theta):
2θ (°)	intensity
16.66	62
19.04	31
27.17	56
29.87	61
30.60	28
32.68	100
33.63	28
35.00	51